[1]
# KGa2HgW
Calculated powder X-ray diffraction pattern, copper Kα. Input: a cell relaxed with PBE.
Neutral-atom scattering factors, no anomalous dispersion.

Peak list (10 most intense, 15° ≤ 2θ ≤ 90°, low angle first)
hkl 0 0 1, 2θ 15.18, d = 5.836 Å, I 14; hkl 1 1 0, 2θ 21.92, d = 4.054 Å, I 26; hkl 1 1 1, 2θ 26.77, d = 3.330 Å, I 100; hkl 0 0 2, 2θ 30.64, d = 2.918 Å, I 24; hkl 2 0 0, 2θ 31.20, d = 2.867 Å, I 47; hkl 2 0 2, 2θ 44.29, d = 2.045 Å, I 36; hkl 2 2 0, 2θ 44.70, d = 2.027 Å, I 17; hkl 1 1 3, 2θ 52.15, d = 1.754 Å, I 16; hkl 3 1 1, 2θ 52.87, d = 1.732 Å, I 32; hkl 2 2 2, 2θ 55.17, d = 1.665 Å, I 18

Cell and atoms:
Cell lengths 5.7339, 5.7339, 5.8357 Å; angles 90.00, 90.00, 90.00 degrees
Fractional coordinates of all 5 atoms:
K1 0.0000 0.0000 0.0000
Ga1 0.0000 0.5000 0.0000
Ga2 0.5000 0.0000 0.0000
Hg1 0.5000 0.5000 0.5000
W1 0.0000 0.0000 0.5000



[2]
# SmZrFeCu
Calculated powder X-ray diffraction pattern, copper Kα. Input: a cell relaxed with PBE.
Neutral-atom scattering factors, no anomalous dispersion.

Peak list (10 most intense, 15° ≤ 2θ ≤ 90°, low angle first)
hkl 1 1 1, 2θ 22.94, d = 3.877 Å, I 6; hkl 2 0 0, 2θ 26.55, d = 3.358 Å, I 12; hkl 2 2 0, 2θ 37.89, d = 2.374 Å, I 100; hkl 3 1 1, 2θ 44.76, d = 2.025 Å, I 3; hkl 2 2 2, 2θ 46.87, d = 1.939 Å, I 4; hkl 4 0 0, 2θ 54.67, d = 1.679 Å, I 17; hkl 4 2 0, 2θ 61.78, d = 1.502 Å, I 5; hkl 4 2 2, 2θ 68.44, d = 1.371 Å, I 33; hkl 4 4 0, 2θ 80.99, d = 1.187 Å, I 10; hkl 6 0 0, 2θ 87.07, d = 1.119 Å, I 3

Cell and atoms:
Cell lengths 6.7154, 6.7154, 6.7154 Å; angles 90.00, 90.00, 90.00 degrees
Fractional coordinates of all 16 atoms:
Sm1 0.0000 0.0000 0.0000
Sm2 0.0000 0.5000 0.5000
Sm3 0.5000 0.0000 0.5000
Sm4 0.5000 0.5000 0.0000
Zr1 0.0000 0.0000 0.5000
Zr2 0.0000 0.5000 0.0000
Zr3 0.5000 0.0000 0.0000
Zr4 0.5000 0.5000 0.5000
Fe1 0.2500 0.2500 0.2500
Fe2 0.2500 0.7500 0.7500
Fe3 0.7500 0.2500 0.7500
Fe4 0.7500 0.7500 0.2500
Cu1 0.2500 0.2500 0.7500
Cu2 0.2500 0.7500 0.2500
Cu3 0.7500 0.2500 0.2500
Cu4 0.7500 0.7500 0.7500